# 1
For CaTbZnN2, a GGA-PBE-relaxed structure gives the computed powder X-ray diffraction pattern in this record (Cu Kα X-rays).

The 10 most intense peaks (5° ≤ 2θ ≤ 70°), sorted by position:
16.9°, I 82, hkl 1 0 0
23.7°, I 35, hkl 1 1 0
32.1°, I 32, hkl 0 1 2
33.3°, I 26, hkl 0 2 0
34.2°, I 24, hkl 2 0 0
36.5°, I 100, hkl 1 1 2
37.6°, I 21, hkl 1 2 0
47.6°, I 23, hkl 2 1 2
48.5°, I 26, hkl 2 2 0
61.6°, I 21, hkl 1 3 2

Cell lengths 5.244, 5.382, 6.512 Å; angles 90.00, 90.00, 90.00 degrees
Space group Pccm (No. 49)
One atom of each set of equivalent atoms:
Ca  0.000  0.000  0.250
Tb  0.500  0.500  0.250
Zn  0.500  0.000  0.000
N  0.271  0.266  0.000

---

# 2
For Th2ScSn, a GGA-PBE-relaxed structure gives the computed powder X-ray diffraction pattern in this record (Cu Kα X-rays).

The 10 most intense peaks (5° ≤ 2θ ≤ 70°), sorted by position:
18.0°, I 21, hkl 0 0 1
26.6°, I 17, hkl 1 1 0
32.3°, I 100, hkl 1 1 1
36.4°, I 18, hkl 0 0 2
38.0°, I 32, hkl 2 0 0
53.7°, I 24, hkl 2 0 2
54.9°, I 11, hkl 2 2 0
62.9°, I 15, hkl 1 1 3
65.1°, I 27, hkl 3 1 1
67.7°, I 12, hkl 2 2 2

Cell lengths 4.731, 4.731, 4.937 Å; angles 90.00, 90.00, 90.00 degrees
Space group P4/mmm (No. 123)
One atom of each set of equivalent atoms:
Th  0.000  0.500  0.000
Sc  0.000  0.000  0.500
Sn  0.500  0.500  0.500

---

# 3
For LiZrNiGe, a GGA-PBE-relaxed structure gives the computed powder X-ray diffraction pattern in this record (Cu Kα X-rays).

The 8 most intense peaks (5° ≤ 2θ ≤ 70°), sorted by position:
25.2°, I 18, hkl 1 1 1
29.1°, I 23, hkl 2 0 0
41.7°, I 100, hkl 2 2 0
49.3°, I 8, hkl 3 1 1
51.7°, I 6, hkl 2 2 2
60.4°, I 16, hkl 4 0 0
66.5°, I 3, hkl 3 3 1
68.5°, I 8, hkl 4 2 0

Cell lengths 6.129, 6.129, 6.129 Å; angles 90.00, 90.00, 90.00 degrees
Space group F-43m (No. 216)
One atom of each set of equivalent atoms:
Li  0.000  0.000  0.000
Zr  0.250  0.250  0.250
Ni  0.000  0.000  0.500
Ge  0.250  0.250  0.750

---

# 4
For Pm2Ga4Rh, a GGA-PBE-relaxed structure gives the computed powder X-ray diffraction pattern in this record (Cu Kα X-rays).

The 10 most intense peaks (5° ≤ 2θ ≤ 70°), sorted by position:
20.9°, I 19, hkl 0 2 0
29.0°, I 100, hkl 2 0 2
34.8°, I 20, hkl 3 1 1
36.0°, I 66, hkl 2 2 2
40.3°, I 28, hkl 0 0 4
42.4°, I 21, hkl 0 4 0
42.5°, I 20, hkl 4 0 0
52.2°, I 28, hkl 2 4 2
59.9°, I 15, hkl 0 4 4
60.0°, I 14, hkl 4 0 4

Cell lengths 8.504, 8.530, 8.944 Å; angles 90.00, 90.00, 90.00 degrees
Space group Fmmm (No. 69)
One atom of each set of equivalent atoms:
Pm  0.250  0.250  0.250
Ga  0.000  0.213  0.000
Ga  0.212  0.000  0.000
Rh  0.000  0.000  0.500

---

Repeat the fourth record exactly.
For Pm2Ga4Rh, a GGA-PBE-relaxed structure gives the computed powder X-ray diffraction pattern in this record (Cu Kα X-rays).

The 10 most intense peaks (5° ≤ 2θ ≤ 70°), sorted by position:
20.9°, I 19, hkl 0 2 0
29.0°, I 100, hkl 2 0 2
34.8°, I 20, hkl 3 1 1
36.0°, I 66, hkl 2 2 2
40.3°, I 28, hkl 0 0 4
42.4°, I 21, hkl 0 4 0
42.5°, I 20, hkl 4 0 0
52.2°, I 28, hkl 2 4 2
59.9°, I 15, hkl 0 4 4
60.0°, I 14, hkl 4 0 4

Cell lengths 8.504, 8.530, 8.944 Å; angles 90.00, 90.00, 90.00 degrees
Space group Fmmm (No. 69)
One atom of each set of equivalent atoms:
Pm  0.250  0.250  0.250
Ga  0.000  0.213  0.000
Ga  0.212  0.000  0.000
Rh  0.000  0.000  0.500

---

> Number 2 is which compound?

Th2ScSn